Theoretical powder diffraction line list
Compound: Ba2InBrO3
Radiation: CuKα
Structure: a structure optimized by DFT (GGA-PBE)

Peak list (10 most intense, 15 to 90 degrees two-theta, low angle first)
(hkl)	two_theta	I (rel.)
1 0 3	26.6	131
1 1 0	29.4	783
1 0 4	30.6	1000
1 0 5	35.0	120
1 1 4	37.2	133
2 0 0	42.0	383
1 0 8	50.4	134
2 1 4	52.8	424
2 2 0	60.9	122
3 1 0	69.0	135

Structure:
```
data_Ba2InBrO3
_chemical_formula_sum 'Ba4 In2 Br2 O6'
_space_group_name_H-M_alt 'P 4/n m m'
_space_group_IT_number 129
_cell_length_a 4.302
_cell_length_b 4.302
_cell_length_c 15.955
_cell_angle_alpha 90.00
_cell_angle_beta 90.00
_cell_angle_gamma 90.00
loop_
_space_group_symop_operation_xyz
'x,y,z'
'-x,-y,-z'
'-y+1/2,x,z'
'y+1/2,-x,-z'
'-x+1/2,-y+1/2,z'
'x+1/2,y+1/2,-z'
'y,-x+1/2,z'
'-y,x+1/2,-z'
'x+1/2,-y,-z'
'-x+1/2,y,z'
'-y,-x,-z'
'y,x,z'
'-x,y+1/2,-z'
'x,-y+1/2,z'
'y+1/2,x+1/2,-z'
'-y+1/2,-x+1/2,z'
loop_
_atom_site_label
_atom_site_type_symbol
_atom_site_fract_x
_atom_site_fract_y
_atom_site_fract_z
Ba1 Ba 0.250 0.250 0.090
Ba2 Ba 0.250 0.250 0.337
In1 In 0.250 0.250 0.796
Br1 Br 0.250 0.250 0.579
O1 O 0.250 0.250 0.929
O2 O 0.250 0.750 0.227
```